Record 1
Starting from a GGA-PBE-relaxed structure, the powder diffractogram of Sm2YPt9 was calculated for Cu Kα, 1.54184 Å.
No peak broadening, texture or thermal motion is included.

Peak list (12 most intense, 10° ≤ 2θ ≤ 90°, by intensity)
Position (°2θ), d [Å], I/Imax, hkl
38.83, 2.319, 100, 1 1 6
41.96, 2.153, 54, 2 0 5
19.15, 4.633, 34, 1 0 1
32.93, 2.720, 31, 1 1 0
69.17, 1.358, 28, 2 2 0
40.50, 2.228, 27, 0 0 12
38.41, 2.343, 27, 0 2 1
62.82, 1.479, 24, 0 3 6
41.84, 2.159, 24, 0 1 11
45.27, 2.003, 23, 0 2 7
83.34, 1.160, 21, 2 2 12
40.66, 2.219, 19, 0 2 4

Cell and atoms:
a = 5.4325 Å, b = 5.4325 Å, c = 26.7307 Å
α = 90.00°, β = 90.00°, γ = 120.00°
Space group R-3m (No. 166, hexagonal axes)
Symmetry-distinct sites (fractional):
Sm (0.0000, 0.0000, 0.1389) [6 per cell]
Y (0.0000, 0.0000, 0.0000) [3 per cell]
Pt (0.0000, 0.0000, 0.3331) [6 per cell]
Pt (0.0000, 0.0000, 0.5000) [3 per cell]
Pt (0.0040, 0.5020, 0.9154) [18 per cell]

***

Record 2
Starting from a GGA-PBE-relaxed structure, the powder diffractogram of Sm2Zn5Pt was calculated for Cu Kα, 1.54184 Å.
No peak broadening, texture or thermal motion is included.

Peak list (12 most intense, 10° ≤ 2θ ≤ 90°, by intensity)
Position (°2θ), d [Å], I/Imax, hkl
33.36, 2.686, 100, 1 3 2
34.66, 2.588, 53, 1 5 0
29.46, 3.031, 43, 1 1 2
42.84, 2.111, 41, 2 0 0
37.07, 2.425, 28, 1 1 3
44.81, 2.022, 22, 0 6 3
39.91, 2.259, 21, 0 0 4
46.25, 1.963, 21, 1 5 3
63.71, 1.461, 21, 2 6 3
14.60, 6.067, 18, 0 2 1
68.33, 1.373, 16, 1 3 6
36.10, 2.488, 16, 1 5 1

Cell and atoms:
a = 4.222 Å, b = 16.376 Å, c = 9.035 Å
α = 90.00°, β = 90.00°, γ = 90.00°
Space group Cmcm (No. 63)
Symmetry-distinct sites (fractional):
Sm (0.000, 0.000, 0.000) [4 per cell]
Sm (0.000, 0.189, 0.250) [4 per cell]
Zn (0.000, 0.191, 0.609) [8 per cell]
Zn (0.000, 0.350, 0.520) [8 per cell]
Zn (0.000, 0.395, 0.250) [4 per cell]
Pt (0.000, 0.448, 0.750) [4 per cell]